Structure and calculated powder diffractogram of Mg14MnCuO16 (the GGA+U geometry in Alexandria; Cu Kα (weighted mean of Kα1 and Kα2)).
Peak positions follow from Bragg's law for the DFT cell and can differ from measured ones.

Atomic structure:
Cell lengths 4.261, 8.543, 8.564 Å; angles 90.00, 90.00, 90.00 degrees
Element x y z (fractional)
Mg (0.000, 0.000, 0.000)
Mg (0.000, 0.248, 0.250)
Mg (0.000, 0.248, 0.750)
Mg (0.000, 0.500, 0.000)
Mg (0.000, 0.752, 0.250)
Mg (0.000, 0.752, 0.750)
Mg (0.500, 0.000, 0.252)
Mg (0.500, 0.000, 0.748)
Mg (0.500, 0.245, 0.500)
Mg (0.500, 0.249, 0.000)
Mg (0.500, 0.500, 0.247)
Mg (0.500, 0.500, 0.753)
Mg (0.500, 0.751, 0.000)
Mg (0.500, 0.755, 0.500)
Mn (0.000, 0.500, 0.500)
Cu (0.000, 0.000, 0.500)
O (0.000, 0.000, 0.244)
O (0.000, 0.000, 0.756)
O (0.000, 0.250, 0.000)
O (0.000, 0.256, 0.500)
O (0.000, 0.500, 0.244)
O (0.000, 0.500, 0.756)
O (0.000, 0.744, 0.500)
O (0.000, 0.750, 0.000)
O (0.500, 0.000, 0.000)
O (0.500, 0.000, 0.500)
O (0.500, 0.250, 0.251)
O (0.500, 0.250, 0.749)
O (0.500, 0.500, 0.000)
O (0.500, 0.500, 0.500)
O (0.500, 0.750, 0.251)
O (0.500, 0.750, 0.749)

Top 6 peaks for 5° ≤ 2θ ≤ 70°, low angle first:
2θ/deg  I_rel  hkl
36.43  49  1 2 2
42.21  89  0 0 4
42.32  88  0 4 0
42.43  88  2 0 0
61.35  100  2 0 4
61.48  50  2 4 0